Calculated powder diffraction line list of Pu8ZnRu5 for λ = 1.5418 Å (Cu Kα), from a structure optimized by DFT (PBE).
Intensities are scaled so that the largest is 100.

Top 10 peaks for 10 to 90 degrees two-theta, sorted by position:
d (Å), 2theta, I_rel
3.443, 25.88, 23
2.971, 30.07, 19
2.670, 33.57, 100
2.647, 33.86, 50
2.253, 40.01, 81
2.243, 40.20, 28
1.721, 53.21, 22
1.656, 55.49, 24
1.369, 68.52, 16
1.335, 70.56, 16

Crystal structure
a b c (Å): 7.291 7.291 7.291
angles (deg): 109.20 109.20 110.01
Element x y z (fractional)
Pu 0.011 0.606 0.736
Pu 0.239 0.494 0.110
Pu 0.384 0.129 0.890
Pu 0.394 0.130 0.406
Pu 0.506 0.616 0.745
Pu 0.725 0.989 0.594
Pu 0.870 0.275 0.264
Pu 0.871 0.761 0.255
Zn 0.000 0.000 0.000
Ru 0.119 0.215 0.601
Ru 0.250 0.750 0.500
Ru 0.481 0.881 0.095
Ru 0.614 0.519 0.399
Ru 0.785 0.386 0.905



Calculated powder diffraction line list of Li2Er3Pt5 for λ = 1.5418 Å (Cu Kα), from a structure optimized by DFT (PBE).
Intensities are scaled so that the largest is 100.

Top 10 peaks for 10 to 90 degrees two-theta, sorted by position:
d (Å), 2theta, I_rel
2.818, 31.76, 67
2.688, 33.33, 17
2.517, 35.68, 34
2.362, 38.09, 100
2.351, 38.29, 60
2.176, 41.49, 32
2.167, 41.68, 33
1.854, 49.14, 27
1.456, 63.95, 27
1.286, 73.69, 23

Crystal structure
a b c (Å): 9.692 9.692 3.708
angles (deg): 90.00 90.00 90.00
Element x y z (fractional)
Li 0.120 0.380 0.000
Li 0.380 0.880 0.000
Li 0.620 0.120 0.000
Li 0.880 0.620 0.000
Er 0.000 0.000 0.000
Er 0.175 0.675 0.000
Er 0.325 0.175 0.000
Er 0.500 0.500 0.000
Er 0.675 0.825 0.000
Er 0.825 0.325 0.000
Pt 0.000 0.500 0.500
Pt 0.070 0.215 0.500
Pt 0.215 0.930 0.500
Pt 0.285 0.430 0.500
Pt 0.430 0.715 0.500
Pt 0.500 0.000 0.500
Pt 0.570 0.285 0.500
Pt 0.715 0.570 0.500
Pt 0.785 0.070 0.500
Pt 0.930 0.785 0.500